Entry 1:
Diffraction record for ThPdAu. The powder diffractogram is computed, not measured: it uses a structure optimized by DFT (GGA-PBE) and Cu Ka.
No peak broadening, texture or thermal motion is included.

Main lines, low angle first (10 to 90 degrees two-theta):
2theta	d/Å	I_rel
32.7	2.736	100
34.8	2.574	46
37.7	2.384	62
43.2	2.093	17
44.4	2.041	22
48.3	1.885	17
57.6	1.600	23
62.9	1.479	28

```
ThPdAu
1.0
3.7696 0.0000 0.0000
0.0000 17.6216 0.0000
0.0000 0.0000 4.0828
Th Pd Au
4 4 4
Cartesian
0.0000 1.9879 1.0207
0.0000 15.6337 3.0621
1.8848 6.8229 3.0621
1.8848 10.7987 1.0207
0.0000 7.9053 1.0207
0.0000 9.7164 3.0621
1.8848 0.9055 3.0621
1.8848 16.7161 1.0207
0.0000 5.0937 1.0207
0.0000 12.5279 3.0621
1.8848 3.7171 3.0621
1.8848 13.9045 1.0207
```

***

Entry 2:
Diffraction record for Mn2GeHSe. The powder diffractogram is computed, not measured: it uses a structure optimized by DFT (GGA-PBE) and Cu Ka.
No peak broadening, texture or thermal motion is included.

Main lines, low angle first (10 to 90 degrees two-theta):
2theta	d/Å	I_rel
15.0	5.904	84
26.4	3.377	85
33.9	2.644	100
34.6	2.590	97
40.1	2.251	57
46.7	1.946	52
48.5	1.878	78
52.2	1.751	76

```
Mn2GeHSe
1.0
5.0439 0.0000 0.0000
0.0000 4.8691 0.0000
-2.3459 0.0000 5.9041
Mn Ge H Se
4 2 2 2
Cartesian
0.0000 1.0406 0.0000
0.0000 3.8285 0.0000
2.5219 1.3940 0.0000
2.5219 3.4751 0.0000
-1.1842 2.4346 4.0627
1.3378 0.0000 4.0627
-0.9202 0.0000 5.5610
1.6017 2.4346 5.5610
1.1090 2.4346 1.6817
3.6310 0.0000 1.6817
```

***

Entry 3:
Diffraction record for Cr4Fe5. The powder diffractogram is computed, not measured: it uses a structure optimized by DFT (GGA-PBE) and Cu Ka.
No peak broadening, texture or thermal motion is included.

Main lines, low angle first (10 to 90 degrees two-theta):
2theta	d/Å	I_rel
45.0	2.013	100
45.6	1.989	48
64.7	1.441	8
66.5	1.406	14
82.7	1.167	14
83.9	1.153	27

```
Cr4Fe5
1.0
-4.2192 4.2192 1.4406
4.2192 -4.2192 1.4406
4.2192 4.2192 -1.4406
Cr Fe
4 5
Cartesian
2.8414 0.0000 0.0000
5.5969 0.0000 0.0000
0.0000 2.8414 0.0000
0.0000 5.5969 0.0000
0.0000 0.0000 0.0000
2.8169 2.8169 0.0000
1.4023 -1.4023 1.4406
-1.4023 1.4023 1.4406
1.4023 1.4023 1.4406
```

***

Entry 4:
Diffraction record for Sr2ZnBr. The powder diffractogram is computed, not measured: it uses a structure optimized by DFT (GGA-PBE) and Cu Ka.
No peak broadening, texture or thermal motion is included.

Main lines, low angle first (10 to 90 degrees two-theta):
2theta	d/Å	I_rel
27.1	3.285	51
27.4	3.258	100
38.9	2.313	77
39.1	2.303	38
48.3	1.886	41
63.4	1.467	18
63.8	1.459	17
70.7	1.332	26

```
Sr2ZnBr
1.0
4.6069 0.0000 0.0000
0.0000 4.6069 0.0000
0.0000 0.0000 6.5694
Sr Zn Br
2 1 1
Cartesian
0.0000 0.0000 0.0000
2.3035 2.3035 3.2799
2.3035 2.3035 6.5619
0.0000 0.0000 3.2857
```

***

Entry 5:
Diffraction record for Ho3PuAs4. The powder diffractogram is computed, not measured: it uses a structure optimized by DFT (GGA-PBE) and Cu Ka.
No peak broadening, texture or thermal motion is included.

Main lines, low angle first (10 to 90 degrees two-theta):
2theta	d/Å	I_rel
26.6	3.353	30
30.8	2.904	100
44.1	2.053	62
52.2	1.752	13
54.7	1.678	13
54.8	1.675	13
72.9	1.298	28
81.2	1.185	17

```
Ho3PuAs4
1.0
8.2061 0.0000 0.0000
0.0000 11.6032 0.0000
0.0000 0.0000 4.1153
Ho Pu As
6 2 8
Cartesian
0.0000 0.0000 0.0000
2.0515 2.9008 2.0577
2.0515 8.7024 2.0577
4.1030 5.8016 0.0000
6.1545 2.9008 2.0577
6.1545 8.7024 2.0577
0.0000 5.8016 0.0000
4.1030 0.0000 0.0000
0.0000 2.9021 0.0000
0.0000 8.7011 0.0000
2.0533 0.0000 2.0577
2.0497 5.8016 2.0577
4.1030 2.8995 0.0000
4.1030 8.7037 0.0000
6.1527 0.0000 2.0577
6.1564 5.8016 2.0577
```